Computed X-ray diffraction stick pattern of Pm2TcSn8 for λ = 1.5418 Å (Cu Kα), from a DFT-relaxed cell (PBE, Alexandria).

The 10 most intense peaks (10° ≤ 2θ ≤ 80°), sorted by position:
Position (°2θ)  d_spacing  I (rel.)  hkl
30.22  2.958  35.5  1 1 2
34.44  2.604  100.0  1 1 3
36.56  2.458  18.1  0 0 5
37.70  2.386  57.0  2 0 0
39.68  2.272  9.4  1 1 4
53.53  1.712  24.8  2 0 5
54.38  1.687  20.1  2 2 0
65.97  1.416  31.4  3 1 3
66.93  1.398  15.2  1 1 8
67.32  1.391  12.8  2 2 5

```
11
Lattice="4.7722 0.0000 0.0000 0.0000 4.7722 0.0000 0.0000 0.0000 12.2881" Properties=species:S:1:pos:R:3 pbc="T T T"
Pm 0.0000 0.0000 2.4084
Pm 0.0000 0.0000 9.8797
Tc 0.0000 0.0000 6.1440
Sn 0.0000 2.3861 0.0000
Sn 0.0000 2.3861 4.6513
Sn 0.0000 2.3861 7.6368
Sn 2.3861 0.0000 0.0000
Sn 2.3861 0.0000 4.6513
Sn 2.3861 0.0000 7.6368
Sn 2.3861 2.3861 2.3372
Sn 2.3861 2.3861 9.9509
```